[1]
Starting from DFT lattice parameters and positions (GGA-PBE), the X-ray powder pattern of NaLa2TaTi2O10 was simulated for Cu Kα, 1.54184 Å.
No peak broadening, texture or thermal motion is included.

Principal peaks in the range 2θ = 10–90°, by angle:
- d 7.483, 2θ 11.83, I 100.0
- d 3.628, 2θ 24.54, I 38.9
- d 3.610, 2θ 24.66, I 42.0
- d 3.269, 2θ 27.28, I 50.8
- d 3.247, 2θ 27.47, I 46.3
- d 2.885, 2θ 30.99, I 91.0
- d 2.864, 2θ 31.23, I 91.0
- d 2.746, 2θ 32.61, I 87.7
- d 2.138, 2θ 42.27, I 28.9
- d 1.942, 2θ 46.78, I 68.2

Atomic structure:
Unit cell a=3.882 b=3.886 c=15.189 alpha=83.07 beta=83.07 gamma=89.99
Atoms (fractional coordinates):
Na 0.000 0.000 0.000
La 0.181 0.685 0.630
La 0.338 0.844 0.333
Ta 0.601 0.106 0.788
Ti 0.737 0.242 0.494
Ti 0.899 0.405 0.196
O 0.114 0.119 0.758
O 0.221 0.207 0.506
O 0.378 0.385 0.235
O 0.544 0.050 0.908
O 0.615 0.620 0.757
O 0.666 0.172 0.632
O 0.702 0.726 0.505
O 0.798 0.302 0.370
O 0.881 0.884 0.233
O 0.955 0.460 0.083

---

[2]
Starting from DFT lattice parameters and positions (GGA-PBE), the X-ray powder pattern of Mo7S8 was simulated for Cu Kα, 1.54184 Å.
No peak broadening, texture or thermal motion is included.

Principal peaks in the range 2θ = 10–90°, by angle:
- d 6.497, 2θ 13.63, I 74.5
- d 6.448, 2θ 13.73, I 100.0
- d 6.376, 2θ 13.89, I 83.1
- d 3.399, 2θ 26.22, I 41.5
- d 3.004, 2θ 29.74, I 38.2
- d 2.684, 2θ 33.38, I 37.6
- d 2.420, 2θ 37.15, I 38.4
- d 1.981, 2θ 45.80, I 63.4
- d 1.975, 2θ 45.94, I 58.8
- d 1.794, 2θ 50.89, I 41.2

Atomic structure:
Unit cell a=6.443 b=6.514 c=13.081 alpha=94.33 beta=94.50 gamma=96.56
Atoms (fractional coordinates):
Mo 0.000 0.000 0.000
Mo 0.001 0.021 0.499
Mo 0.045 0.256 0.686
Mo 0.074 0.232 0.194
Mo 0.130 0.693 0.596
Mo 0.137 0.667 0.095
Mo 0.185 0.928 0.783
Mo 0.199 0.902 0.284
Mo 0.372 0.068 0.618
Mo 0.384 0.039 0.120
Mo 0.616 0.273 0.939
Mo 0.774 0.353 0.403
Mo 0.806 0.876 0.665
Mo 0.815 0.840 0.164
S 0.230 0.347 0.531
S 0.237 0.320 0.027
S 0.306 0.831 0.958
S 0.313 0.842 0.461
S 0.390 0.276 0.782
S 0.429 0.236 0.294
S 0.450 0.757 0.706
S 0.458 0.722 0.204
S 0.726 0.207 0.569
S 0.748 0.174 0.096
S 0.786 0.689 0.496
S 0.790 0.630 0.996
S 0.854 0.106 0.826
S 0.873 0.053 0.319
S 0.954 0.605 0.754
S 0.965 0.575 0.264

---

[3]
Starting from DFT lattice parameters and positions (GGA-PBE), the X-ray powder pattern of Cs2CuAuCl6 was simulated for Cu Kα, 1.54184 Å.
No peak broadening, texture or thermal motion is included.

Principal peaks in the range 2θ = 10–90°, by angle:
- d 5.878, 2θ 15.07, I 13.1
- d 3.600, 2θ 24.73, I 100.0
- d 2.545, 2θ 35.26, I 53.4
- d 2.078, 2θ 43.55, I 45.4
- d 1.800, 2θ 50.72, I 36.0
- d 1.610, 2θ 57.22, I 20.7
- d 1.470, 2θ 63.28, I 12.1
- d 1.361, 2θ 69.03, I 23.7
- d 1.200, 2θ 79.95, I 11.8
- d 1.138, 2θ 85.25, I 16.0

Atomic structure:
Unit cell a=7.200 b=7.200 c=7.200 alpha=60.00 beta=60.00 gamma=60.00
Atoms (fractional coordinates):
Cs 0.250 0.250 0.250
Cs 0.750 0.750 0.750
Cu 0.000 0.000 0.000
Au 0.500 0.500 0.500
Cl 0.243 0.243 0.757
Cl 0.243 0.757 0.243
Cl 0.243 0.757 0.757
Cl 0.757 0.243 0.243
Cl 0.757 0.243 0.757
Cl 0.757 0.757 0.243

---

[4]
Starting from DFT lattice parameters and positions (GGA-PBE), the X-ray powder pattern of Li2CuO2 was simulated for Cu Kα, 1.54184 Å.
No peak broadening, texture or thermal motion is included.

Principal peaks in the range 2θ = 10–90°, by angle:
- d 4.634, 2θ 19.15, I 33.8
- d 3.444, 2θ 25.87, I 100.0
- d 2.777, 2θ 32.23, I 15.1
- d 2.374, 2θ 37.90, I 10.0
- d 2.119, 2θ 42.68, I 35.8
- d 2.053, 2θ 44.11, I 27.0
- d 1.855, 2θ 49.11, I 12.6
- d 1.629, 2θ 56.50, I 26.7
- d 1.543, 2θ 59.93, I 9.6
- d 1.396, 2θ 67.06, I 15.5

Atomic structure:
Unit cell a=2.911 b=3.710 c=9.267 alpha=90.00 beta=90.00 gamma=90.00
Atoms (fractional coordinates):
Li 0.000 0.000 0.210
Li 0.000 0.000 0.790
Li 0.500 0.500 0.290
Li 0.500 0.500 0.710
Cu 0.000 0.000 0.500
Cu 0.500 0.500 0.000
O 0.000 0.500 0.144
O 0.000 0.500 0.856
O 0.500 0.000 0.356
O 0.500 0.000 0.644

---

[5]
Starting from DFT lattice parameters and positions (GGA-PBE), the X-ray powder pattern of BaTlIn3 was simulated for Cu Kα, 1.54184 Å.
No peak broadening, texture or thermal motion is included.

Principal peaks in the range 2θ = 10–90°, by angle:
- d 3.204, 2θ 27.84, I 38.8
- d 3.126, 2θ 28.55, I 100.0
- d 2.566, 2θ 34.96, I 61.7
- d 2.347, 2θ 38.36, I 35.4
- d 2.219, 2θ 40.66, I 20.3
- d 2.003, 2θ 45.27, I 20.5
- d 1.815, 2θ 50.28, I 21.7
- d 1.679, 2θ 54.68, I 16.9
- d 1.569, 2θ 58.84, I 26.0
- d 1.436, 2θ 64.96, I 14.7

Atomic structure:
Unit cell a=5.133 b=5.133 c=12.304 alpha=90.00 beta=90.00 gamma=90.00
Atoms (fractional coordinates):
Ba 0.000 0.000 0.000
Ba 0.500 0.500 0.500
Tl 0.000 0.500 0.750
Tl 0.500 0.000 0.250
In 0.000 0.000 0.383
In 0.000 0.000 0.617
In 0.000 0.500 0.250
In 0.500 0.000 0.750
In 0.500 0.500 0.117
In 0.500 0.500 0.883

---

[6]
Starting from DFT lattice parameters and positions (GGA-PBE), the X-ray powder pattern of BiBr3 was simulated for Cu Kα, 1.54184 Å.
No peak broadening, texture or thermal motion is included.

Principal peaks in the range 2θ = 10–90°, by angle:
- d 7.303, 2θ 12.12, I 100.0
- d 6.171, 2θ 14.35, I 38.0
- d 5.497, 2θ 16.12, I 25.4
- d 3.645, 2θ 24.42, I 42.3
- d 3.075, 2θ 29.04, I 93.4
- d 3.044, 2θ 29.35, I 45.9
- d 2.218, 2θ 40.68, I 22.5
- d 2.192, 2θ 41.18, I 35.2
- d 2.134, 2θ 42.35, I 48.0
- d 1.747, 2θ 52.38, I 25.6

Atomic structure:
Unit cell a=7.672 b=12.796 c=7.400 alpha=90.00 beta=107.85 gamma=90.00
Atoms (fractional coordinates):
Bi 0.002 0.167 0.004
Bi 0.002 0.333 0.504
Bi 0.998 0.667 0.496
Bi 0.998 0.833 0.996
Br 0.227 0.679 0.248
Br 0.227 0.821 0.748
Br 0.231 0.501 0.712
Br 0.231 0.999 0.212
Br 0.232 0.181 0.758
Br 0.232 0.319 0.258
Br 0.768 0.681 0.742
Br 0.768 0.819 0.242
Br 0.769 0.001 0.788
Br 0.769 0.499 0.288
Br 0.773 0.179 0.252
Br 0.773 0.321 0.752

---

[7]
Starting from DFT lattice parameters and positions (GGA-PBE), the X-ray powder pattern of AsSe3N2F6 was simulated for Cu Kα, 1.54184 Å.
No peak broadening, texture or thermal motion is included.

Principal peaks in the range 2θ = 10–90°, by angle:
- d 5.072, 2θ 17.48, I 89.8
- d 4.837, 2θ 18.34, I 27.1
- d 3.970, 2θ 22.39, I 100.0
- d 3.719, 2θ 23.93, I 39.6
- d 3.498, 2θ 25.47, I 19.7
- d 3.399, 2θ 26.22, I 43.5
- d 3.387, 2θ 26.31, I 35.6
- d 3.217, 2θ 27.73, I 24.9
- d 3.133, 2θ 28.49, I 20.8
- d 1.983, 2θ 45.75, I 21.9

Atomic structure:
Unit cell a=8.496 b=10.631 c=10.735 alpha=82.43 beta=69.85 gamma=82.40
Atoms (fractional coordinates):
As 0.206 0.176 0.126
As 0.208 0.354 0.637
As 0.792 0.646 0.363
As 0.794 0.824 0.874
Se 0.270 0.730 0.541
Se 0.273 0.021 0.484
Se 0.290 0.579 0.971
Se 0.293 0.795 0.133
Se 0.336 0.503 0.186
Se 0.355 0.933 0.680
Se 0.645 0.067 0.320
Se 0.664 0.497 0.814
Se 0.707 0.205 0.867
Se 0.710 0.421 0.029
Se 0.727 0.979 0.516
Se 0.730 0.270 0.459
N 0.236 0.873 0.447
N 0.272 0.742 0.993
N 0.321 0.657 0.236
N 0.328 0.774 0.669
N 0.672 0.226 0.331
N 0.679 0.343 0.764
N 0.728 0.258 0.007
N 0.764 0.127 0.553
F 0.031 0.274 0.107
F 0.071 0.496 0.646
F 0.075 0.057 0.224
F 0.084 0.277 0.572
F 0.090 0.298 0.800
F 0.182 0.247 0.274
F 0.239 0.103 0.980
F 0.333 0.407 0.472
F 0.338 0.428 0.700
F 0.340 0.298 0.031
F 0.351 0.210 0.624
F 0.387 0.081 0.147
F 0.613 0.919 0.853
F 0.649 0.790 0.376
F 0.660 0.702 0.969
F 0.662 0.572 0.300
F 0.667 0.593 0.528
F 0.761 0.897 0.020
F 0.818 0.753 0.726
F 0.910 0.702 0.200
F 0.916 0.723 0.428
F 0.925 0.943 0.776
F 0.929 0.504 0.354
F 0.969 0.726 0.893

---

[8]
Starting from DFT lattice parameters and positions (GGA-PBE), the X-ray powder pattern of EuEr was simulated for Cu Kα, 1.54184 Å.
No peak broadening, texture or thermal motion is included.

Principal peaks in the range 2θ = 10–90°, by angle:
- d 3.170, 2θ 28.15, I 23.0
- d 3.027, 2θ 29.51, I 27.1
- d 2.808, 2θ 31.87, I 100.0
- d 2.189, 2θ 41.24, I 16.6
- d 1.830, 2θ 49.83, I 19.1
- d 1.702, 2θ 53.86, I 22.8
- d 1.566, 2θ 58.98, I 23.1
- d 1.533, 2θ 60.37, I 16.2
- d 1.175, 2θ 81.98, I 13.7
- d 1.166, 2θ 82.75, I 9.0

Atomic structure:
Unit cell a=3.660 b=3.660 c=6.054 alpha=90.00 beta=90.00 gamma=120.00
Atoms (fractional coordinates):
Eu 0.000 0.000 0.000
Er 0.333 0.667 0.500